The following is a calculated powder XRD pattern of Zn12GaCu7. It was derived from a PBE-relaxed structure, using Cu Ka.
Neutral-atom scattering factors, no anomalous dispersion.

The 8 most intense peaks (10° ≤ 2θ ≤ 80°), sorted by position:
| hkl | 2theta | I_rel |
| --- | --- | --- |
| 1 1 3 | 37.4 | 39 |
| 3 1 2 | 40.8 | 11 |
| 4 1 0 | 43.3 | 100 |
| 3 0 3 | 44.2 | 53 |
| 4 -2 3 | 47.4 | 31 |
| 1 4 3 | 55.9 | 11 |
| 2 5 3 | 70.9 | 15 |
| 3 6 0 | 79.5 | 10 |

Structural model:
a = 11.0496 Å, b = 11.0496 Å, c = 8.0073 Å
α = 90.00°, β = 90.00°, γ = 120.00°
Space group R-3 (No. 148, hexagonal axes)
One atom of each set of equivalent atoms:
Zn (0.0524, 0.8424, 0.2456)
Zn (0.0560, 0.8123, 0.5845)
Ga (0.0000, 0.0000, 0.0000)
Cu (0.0000, 0.0000, 0.5000)
Cu (0.0641, 0.8204, 0.9195)